(1)
Calculated X-ray powder pattern
Compound: Sr4Sn3O10
Radiation: Cu Kα X-rays
Structure: a crystal structure in Alexandria, relaxed with GGA-PBE
Kinematic intensities with the Lorentz-polarization factor, no thermal factor.

Top 10 peaks for 10 to 90 degrees two-theta, in order of rising 2θ:
2theta  intensity  hkl
30.58  100  1 0 7
30.70  58  1 1 0
43.61  15  0 0 14
43.98  36  2 0 0
54.28  19  1 1 14
54.51  41  2 1 7
63.66  19  2 0 14
63.94  11  2 2 0
72.57  20  3 1 0
88.86  12  3 2 7

Cell and atoms:
abc: 4.1181 4.1181 29.0574
angles: 90.00 90.00 90.00
Space group I4/mmm (No. 139)
Asymmetric unit:
Sr  0.0000  0.0000  0.0697 (multiplicity 4)
Sr  0.0000  0.0000  0.2038 (multiplicity 4)
Sn  0.0000  0.0000  0.3580 (multiplicity 4)
Sn  0.0000  0.0000  0.5000 (multiplicity 2)
O  0.0000  0.0000  0.2869 (multiplicity 4)
O  0.0000  0.0000  0.4293 (multiplicity 4)
O  0.0000  0.5000  0.0000 (multiplicity 4)
O  0.0000  0.5000  0.1403 (multiplicity 8)

(2)
Calculated X-ray powder pattern
Compound: CaPdSe
Radiation: Cu Kα X-rays
Structure: a crystal structure in Alexandria, relaxed with GGA-PBE
Kinematic intensities with the Lorentz-polarization factor, no thermal factor.

Top 10 peaks for 10 to 90 degrees two-theta, in order of rising 2θ:
2theta  intensity  hkl
22.78  47  0 0 1
23.47  20  1 0 0
32.94  100  1 0 1
41.25  73  1 1 0
46.54  17  0 0 2
47.64  39  1 1 1
53.77  23  2 0 1
63.92  38  1 1 2
69.95  21  2 1 1
75.20  12  3 0 0

Cell and atoms:
abc: 4.3769 4.3769 3.9028
angles: 90.00 90.00 120.00
Space group P-6m2 (No. 187)
Asymmetric unit:
Ca  0.0000  0.0000  0.0000 (multiplicity 1)
Pd  0.6667  0.3333  0.5000 (multiplicity 1)
Se  0.3333  0.6667  0.5000 (multiplicity 1)

(3)
Calculated X-ray powder pattern
Compound: Nd2AlPt5
Radiation: Cu Kα X-rays
Structure: a crystal structure in Alexandria, relaxed with GGA-PBE
Kinematic intensities with the Lorentz-polarization factor, no thermal factor.

Top 10 peaks for 10 to 90 degrees two-theta, in order of rising 2θ:
2theta  intensity  hkl
17.72  18  1 0 1
33.75  8  2 1 1
35.89  100  2 0 2
40.73  37  2 2 0
43.53  16  0 0 4
58.96  11  4 0 0
61.13  22  2 2 4
70.99  22  4 2 2
74.91  12  2 0 6
76.07  10  4 0 4

Cell and atoms:
abc: 6.2660 6.2660 8.3172
angles: 90.00 90.00 90.00
Space group I4mm (No. 107)
Asymmetric unit:
Nd  0.0000  0.5000  0.0000 (multiplicity 4)
Al  0.0000  0.0000  0.2845 (multiplicity 2)
Pt  0.0000  0.0000  0.9837 (multiplicity 2)
Pt  0.2257  0.2257  0.7456 (multiplicity 8)

(4)
Calculated X-ray powder pattern
Compound: Ce2FeHg
Radiation: Cu Kα X-rays
Structure: a crystal structure in Alexandria, relaxed with GGA-PBE
Kinematic intensities with the Lorentz-polarization factor, no thermal factor.

Top 10 peaks for 10 to 90 degrees two-theta, in order of rising 2θ:
2theta  intensity  hkl
31.09  42  1 3 0
31.71  16  0 2 2
33.33  100  1 1 2
34.03  22  0 4 0
35.83  46  2 0 0
40.99  13  1 4 1
41.42  49  1 3 2
50.24  15  2 4 0
62.80  16  3 1 2
67.36  13  2 0 4

Cell and atoms:
abc: 5.0129 10.5374 6.6830
angles: 90.00 90.00 90.00
Space group Ima2 (No. 46)
Asymmetric unit:
Ce  0.2500  0.1120  0.0000 (multiplicity 4)
Ce  0.2500  0.6786  0.2352 (multiplicity 4)
Fe  0.2500  0.6186  0.7106 (multiplicity 4)
Hg  0.2500  0.0902  0.4740 (multiplicity 4)

(5)
Calculated X-ray powder pattern
Compound: La2Tb6Dy
Radiation: Cu Kα X-rays
Structure: a crystal structure in Alexandria, relaxed with GGA-PBE
Kinematic intensities with the Lorentz-polarization factor, no thermal factor.

Top 10 peaks for 10 to 90 degrees two-theta, in order of rising 2θ:
2theta  intensity  hkl
27.64  17  0 0 2
28.31  46  0 4 1
28.76  24  3 1 1
30.63  55  2 2 -2
31.14  100  4 2 -1
31.77  43  1 5 0
32.79  28  1 3 -2
33.27  34  2 4 1
34.19  25  2 0 2
63.10  17  8 4 -1

Cell and atoms:
abc: 12.9110 14.4536 6.6328
angles: 90.00 103.77 90.00
Space group C2/c (No. 15)
Asymmetric unit:
La  0.1437  0.0276  0.3786 (multiplicity 8)
Tb  0.0356  0.1902  0.0036 (multiplicity 8)
Tb  0.1310  0.4087  0.8143 (multiplicity 8)
Tb  0.2409  0.2017  0.7306 (multiplicity 8)
Dy  0.0000  0.3842  0.2500 (multiplicity 4)

(6)
Calculated X-ray powder pattern
Compound: Ba2LiAgPd6
Radiation: Cu Kα X-rays
Structure: a crystal structure in Alexandria, relaxed with GGA-PBE
Kinematic intensities with the Lorentz-polarization factor, no thermal factor.

Top 10 peaks for 10 to 90 degrees two-theta, in order of rising 2θ:
2theta  intensity  hkl
26.18  11  1 1 2
30.82  10  1 2 1
32.23  100  2 0 2
37.38  84  2 2 0
53.79  9  0 4 0
53.90  36  2 2 4
54.01  9  4 0 0
64.17  23  2 4 2
64.28  11  4 2 2
67.33  9  0 4 4

Cell and atoms:
abc: 6.7908 6.8172 9.6230
angles: 90.00 90.00 90.00
Space group Immm (No. 71)
Asymmetric unit:
Ba  0.0000  0.0000  0.2499 (multiplicity 4)
Li  0.0000  0.5000  0.0000 (multiplicity 2)
Ag  0.0000  0.5000  0.5000 (multiplicity 2)
Pd  0.0000  0.5000  0.2290 (multiplicity 4)
Pd  0.2288  0.2709  0.0000 (multiplicity 8)

(7)
Calculated X-ray powder pattern
Compound: AcPm2TmTe5
Radiation: Cu Kα X-rays
Structure: a crystal structure in Alexandria, relaxed with GGA-PBE
Kinematic intensities with the Lorentz-polarization factor, no thermal factor.

Top 10 peaks for 10 to 90 degrees two-theta, in order of rising 2θ:
2theta  intensity  hkl
14.53  38  0 0 2
22.90  94  1 1 0
29.31  22  0 0 4
31.88  67  1 1 3
32.61  100  2 0 0
33.64  62  1 0 4
44.41  28  2 0 4
46.79  37  2 2 0
47.55  48  2 1 4
57.73  25  3 1 3

Cell and atoms:
abc: 5.4917 5.4917 12.1887
angles: 90.00 90.00 90.00
Space group P4/mmm (No. 123)
Asymmetric unit:
Ac  0.0000  0.0000  0.0000 (multiplicity 1)
Pm  0.5000  0.5000  0.3532 (multiplicity 2)
Tm  0.0000  0.0000  0.5000 (multiplicity 1)
Te  0.0000  0.0000  0.2577 (multiplicity 2)
Te  0.0000  0.5000  0.5000 (multiplicity 2)
Te  0.5000  0.5000  0.0000 (multiplicity 1)

(8)
Calculated X-ray powder pattern
Compound: Li7Ca3Hg2
Radiation: Cu Kα X-rays
Structure: a crystal structure in Alexandria, relaxed with GGA-PBE
Kinematic intensities with the Lorentz-polarization factor, no thermal factor.

Top 10 peaks for 10 to 90 degrees two-theta, in order of rising 2θ:
2theta  intensity  hkl
18.35  88  0 0 6
21.23  32  1 0 4
30.22  73  1 1 0
31.64  60  1 1 3
35.58  100  1 1 6
41.43  42  1 1 9
48.64  31  1 1 12
56.86  23  1 1 15
57.21  28  3 0 6
66.04  23  2 2 6

Cell and atoms:
abc: 5.9146 5.9146 29.0258
angles: 90.00 90.00 120.00
Space group R-3m (No. 166, hexagonal axes)
Asymmetric unit:
Li  0.0000  0.0000  0.0000 (multiplicity 3)
Li  0.0009  0.5005  0.4221 (multiplicity 18)
Ca  0.0000  0.0000  0.3584 (multiplicity 6)
Ca  0.0000  0.0000  0.5000 (multiplicity 3)
Hg  0.0000  0.0000  0.1666 (multiplicity 6)

(9)
Calculated X-ray powder pattern
Compound: TiMn2Ru
Radiation: Cu Kα X-rays
Structure: a crystal structure in Alexandria, relaxed with GGA-PBE
Kinematic intensities with the Lorentz-polarization factor, no thermal factor.

Top 10 peaks for 10 to 90 degrees two-theta, in order of rising 2θ:
2theta  intensity  hkl
25.90  12  1 1 1
30.00  3  2 0 0
42.93  100  2 2 0
50.83  6  3 1 1
53.26  1  2 2 2
62.34  15  4 0 0
68.66  2  3 3 1
70.71  1  4 2 0
78.67  30  4 2 2
84.49  2  5 1 1

Cell and atoms:
abc: 5.9582 5.9582 5.9582
angles: 90.00 90.00 90.00
Space group Fm-3m (No. 225)
Asymmetric unit:
Ti  0.0000  0.0000  0.0000 (multiplicity 4)
Mn  0.2500  0.2500  0.2500 (multiplicity 8)
Ru  0.0000  0.0000  0.5000 (multiplicity 4)

(10)
Calculated X-ray powder pattern
Compound: La12Ho7Mg
Radiation: Cu Kα X-rays
Structure: a crystal structure in Alexandria, relaxed with GGA-PBE
Kinematic intensities with the Lorentz-polarization factor, no thermal factor.

Top 10 peaks for 10 to 90 degrees two-theta, in order of rising 2θ:
2theta  intensity  hkl
15.07  32  2 0 0
21.37  23  2 2 0
26.25  56  2 2 2
30.40  100  4 0 0
34.09  18  4 0 2
43.53  74  4 4 0
51.55  25  6 2 2
54.02  26  4 4 4
71.79  33  8 4 0
79.92  24  8 4 4

Cell and atoms:
abc: 11.7604 11.7604 11.7604
angles: 90.00 90.00 90.00
Space group Im-3 (No. 204)
Asymmetric unit:
La  0.0000  0.2427  0.2524 (multiplicity 24)
Ho  0.0000  0.0000  0.5000 (multiplicity 6)
Ho  0.2500  0.2500  0.2500 (multiplicity 8)
Mg  0.0000  0.0000  0.0000 (multiplicity 2)

(11)
Calculated X-ray powder pattern
Compound: CuSn2F8
Radiation: Cu Kα X-rays
Structure: a crystal structure in Alexandria, relaxed with GGA-PBE
Kinematic intensities with the Lorentz-polarization factor, no thermal factor.

Top 10 peaks for 10 to 90 degrees two-theta, in order of rising 2θ:
2theta  intensity  hkl
25.60  100  0 1 1
26.70  93  1 1 0
30.93  11  2 0 0
44.43  16  1 0 2
46.48  45  1 2 1
47.15  20  3 0 0
52.60  20  0 2 2
55.01  26  2 2 0
59.95  16  3 -1 2
61.62  18  4 -1 1

Cell and atoms:
abc: 6.6770 6.6770 4.3578
angles: 90.00 90.00 120.00
Space group P-3 (No. 147)
Asymmetric unit:
Cu  0.0000  0.0000  0.0000 (multiplicity 1)
Sn  0.3333  0.6667  0.2534 (multiplicity 2)
F  0.1567  0.8413  0.2354 (multiplicity 6)
F  0.3333  0.6667  0.7536 (multiplicity 2)

(12)
Calculated X-ray powder pattern
Compound: Mg3Cd5Cl16
Radiation: Cu Kα X-rays
Structure: a crystal structure in Alexandria, relaxed with GGA-PBE
Kinematic intensities with the Lorentz-polarization factor, no thermal factor.

Top 10 peaks for 10 to 90 degrees two-theta, in order of rising 2θ:
2theta  intensity  hkl
14.53  26  0 0 2
15.25  33  1 1 -1
15.36  100  2 0 1
19.97  31  2 0 2
27.76  47  3 1 2
31.01  48  2 2 2
34.95  31  2 2 -3
35.27  52  2 2 3
47.76  52  6 2 0
48.00  26  0 4 0

Cell and atoms:
abc: 13.2170 7.5808 12.1966
angles: 90.00 91.01 90.00
Space group Cm (No. 8)
Asymmetric unit:
Mg  0.0000  0.0000  0.0000 (multiplicity 2)
Mg  0.4158  0.2472  0.4991 (multiplicity 4)
Cd  0.1608  0.0000  0.2679 (multiplicity 2)
Cd  0.1623  0.5000  0.4996 (multiplicity 2)
Cd  0.2467  0.2466  0.9995 (multiplicity 4)
Cd  0.4947  0.0000  0.7643 (multiplicity 2)
Cl  0.0704  0.2609  0.6228 (multiplicity 4)
Cl  0.0814  0.2311  0.1238 (multiplicity 4)
Cl  0.1545  0.0000  0.8806 (multiplicity 2)
Cl  0.1699  0.5000  0.8731 (multiplicity 2)
Cl  0.2546  0.2538  0.3814 (multiplicity 4)
Cl  0.3211  0.0000  0.1308 (multiplicity 2)
Cl  0.3404  0.5000  0.1105 (multiplicity 2)
Cl  0.3396  0.5000  0.6061 (multiplicity 2)
Cl  0.3426  0.0000  0.6171 (multiplicity 2)
Cl  0.4167  0.2591  0.8822 (multiplicity 4)
Cl  0.4892  0.0000  0.3845 (multiplicity 2)
Cl  0.4934  0.5000  0.3874 (multiplicity 2)

(13)
Calculated X-ray powder pattern
Compound: Sm3Zn4Pt2
Radiation: Cu Kα X-rays
Structure: a crystal structure in Alexandria, relaxed with GGA-PBE
Kinematic intensities with the Lorentz-polarization factor, no thermal factor.

Top 10 peaks for 10 to 90 degrees two-theta, in order of rising 2θ:
2theta  intensity  hkl
16.97  27  2 0 -1
31.99  21  3 1 -1
33.41  40  4 0 -1
33.84  79  3 1 0
34.29  85  1 1 2
34.31  37  0 0 3
39.90  100  3 1 -3
40.41  53  0 2 0
51.01  24  4 0 2
53.41  21  4 2 -1

Cell and atoms:
abc: 10.7734 4.4639 8.5555
angles: 90.00 113.60 90.00
Space group C2/m (No. 12)
Asymmetric unit:
Sm  0.0000  0.0000  0.0000 (multiplicity 2)
Sm  0.1805  0.5000  0.6488 (multiplicity 4)
Zn  0.0340  0.0000  0.3734 (multiplicity 4)
Zn  0.2185  0.5000  0.0496 (multiplicity 4)
Pt  0.1004  0.5000  0.2677 (multiplicity 4)